# Li5SnP4O14
Theoretical XRD peak list, Cu Kα (λ = 1.5418 Å). Input: a structure optimized by DFT (PBE).
Intensities are scaled so that the largest is 100.

The 12 most intense peaks (10 to 90 degrees two-theta), by angle:
Position (°2θ), I_rel
11.0, 47.8
13.3, 76.4
14.3, 62.3
20.6, 27.0
21.6, 46.6
22.2, 100.0
23.5, 27.0
29.8, 33.2
30.2, 49.0
32.4, 30.7
33.4, 35.8
38.9, 31.1

Atomic structure:
Lattice parameters (Å, degrees): 7.163 8.688 9.730 77.09 77.78 69.28
Fractional positions:
Li  0.040  0.498  0.142
Li  0.249  0.731  0.906
Li  0.281  0.260  0.571
Li  0.332  0.188  0.276
Li  0.424  0.484  0.352
Li  0.576  0.516  0.648
Li  0.668  0.812  0.724
Li  0.719  0.740  0.429
Li  0.751  0.269  0.094
Li  0.960  0.502  0.858
Sn  0.134  0.865  0.238
Sn  0.866  0.135  0.762
P  0.118  0.633  0.570
P  0.168  0.129  0.969
P  0.304  0.898  0.542
P  0.407  0.345  0.945
P  0.593  0.655  0.055
P  0.696  0.102  0.458
P  0.832  0.871  0.031
P  0.882  0.367  0.430
O  0.010  0.254  0.874
O  0.084  0.368  0.343
O  0.096  0.153  0.127
O  0.122  0.658  0.406
O  0.142  0.800  0.600
O  0.213  0.051  0.617
O  0.216  0.497  0.924
O  0.217  0.950  0.952
O  0.299  0.480  0.607
O  0.316  0.944  0.378
O  0.369  0.180  0.915
O  0.410  0.648  0.172
O  0.453  0.313  0.097
O  0.497  0.224  0.410
O  0.503  0.776  0.590
O  0.547  0.687  0.903
O  0.590  0.352  0.828
O  0.631  0.820  0.085
O  0.684  0.056  0.622
O  0.701  0.520  0.393
O  0.783  0.050  0.048
O  0.784  0.503  0.076
O  0.787  0.949  0.383
O  0.858  0.200  0.400
O  0.878  0.342  0.594
O  0.904  0.847  0.873
O  0.916  0.632  0.657
O  0.990  0.746  0.126

# ZrCo3
Theoretical XRD peak list, Cu Kα (λ = 1.5418 Å). Input: a structure optimized by DFT (PBE).
Intensities are scaled so that the largest is 100.

The 12 most intense peaks (10 to 90 degrees two-theta), by angle:
Position (°2θ), I_rel
28.6, 9.0
33.4, 2.6
38.8, 25.0
42.9, 26.1
44.5, 100.0
52.1, 3.6
59.2, 13.4
69.7, 2.9
70.2, 14.2
79.8, 16.1
85.9, 16.1
87.0, 11.0

Atomic structure:
Lattice parameters (Å, degrees): 5.366 5.366 4.216 90.00 90.00 120.00
Fractional positions:
Zr  0.333  0.667  0.250
Zr  0.667  0.333  0.750
Co  0.151  0.303  0.750
Co  0.151  0.849  0.750
Co  0.303  0.151  0.250
Co  0.697  0.849  0.750
Co  0.849  0.151  0.250
Co  0.849  0.697  0.250

# AlCu3HgSe4
Theoretical XRD peak list, Cu Kα (λ = 1.5418 Å). Input: a structure optimized by DFT (PBE).
Intensities are scaled so that the largest is 100.

The 12 most intense peaks (10 to 90 degrees two-theta), by angle:
Position (°2θ), I_rel
21.3, 25.2
26.2, 100.0
34.0, 10.6
37.4, 13.1
43.4, 86.6
48.8, 5.3
51.4, 45.2
58.6, 8.2
63.1, 13.5
69.5, 17.3
79.7, 26.9
85.6, 13.1

Atomic structure:
Lattice parameters (Å, degrees): 5.896 5.896 5.896 90.00 90.00 90.00
Fractional positions:
Al  0.000  0.000  0.000
Cu  0.000  0.000  0.500
Cu  0.000  0.500  0.000
Cu  0.500  0.000  0.000
Hg  0.500  0.500  0.500
Se  0.236  0.236  0.236
Se  0.236  0.764  0.764
Se  0.764  0.236  0.764
Se  0.764  0.764  0.236

# Nb13AgO33
Theoretical XRD peak list, Cu Kα (λ = 1.5418 Å). Input: a structure optimized by DFT (PBE).
Intensities are scaled so that the largest is 100.

The 12 most intense peaks (10 to 90 degrees two-theta), by angle:
Position (°2θ), I_rel
16.3, 17.6
23.6, 48.1
24.2, 100.0
25.6, 67.0
30.9, 31.8
31.4, 28.3
33.6, 24.6
47.6, 27.9
51.7, 21.7
52.5, 26.8
54.0, 23.2
58.0, 18.5

Atomic structure:
Lattice parameters (Å, degrees): 11.628 11.628 15.741 91.84 91.84 18.92
Fractional positions:
Nb  0.000  0.000  0.000
Nb  0.071  0.071  0.226
Nb  0.085  0.085  0.675
Nb  0.137  0.137  0.466
Nb  0.154  0.154  0.904
Nb  0.225  0.225  0.137
Nb  0.292  0.292  0.374
Nb  0.708  0.708  0.626
Nb  0.775  0.775  0.863
Nb  0.846  0.846  0.096
Nb  0.863  0.863  0.534
Nb  0.915  0.915  0.325
Nb  0.929  0.929  0.774
Ag  0.500  0.500  0.500
O  0.011  0.011  0.711
O  0.035  0.035  0.119
O  0.068  0.068  0.544
O  0.081  0.081  0.952
O  0.101  0.101  0.364
O  0.127  0.127  0.788
O  0.153  0.153  0.195
O  0.182  0.182  0.612
O  0.194  0.194  0.028
O  0.222  0.222  0.431
O  0.250  0.250  0.863
O  0.267  0.267  0.264
O  0.321  0.321  0.099
O  0.347  0.347  0.503
O  0.390  0.390  0.337
O  0.431  0.431  0.746
O  0.500  0.500  0.000
O  0.569  0.569  0.254
O  0.610  0.610  0.663
O  0.653  0.653  0.497
O  0.679  0.679  0.901
O  0.733  0.733  0.736
O  0.750  0.750  0.137
O  0.778  0.778  0.569
O  0.806  0.806  0.972
O  0.818  0.818  0.388
O  0.847  0.847  0.805
O  0.873  0.873  0.212
O  0.899  0.899  0.636
O  0.919  0.919  0.048
O  0.932  0.932  0.456
O  0.965  0.965  0.881
O  0.989  0.989  0.289